[1]
This entry pairs a crystal structure of BaSrGdBiO6 with its theoretical powder diffractogram. Radiation: Cu Ka. Structure: a DFT-relaxed cell (PBE, the Materials Project).
Peak positions follow from Bragg's law for the DFT cell and can differ from measured ones.

Crystal structure
a = 6.1050 Å, b = 6.1573 Å, c = 8.6602 Å
α = 89.90°, β = 89.81°, γ = 89.97°
Space group P-1 (No. 2)
Inequivalent atoms, fractional coordinates:
Ba  0.0062  0.0288  0.2500 [2 per cell]
Sr  0.4919  0.5367  0.2492 [2 per cell]
Gd  0.0000  0.5000  0.0000 [1 per cell]
Gd  0.5000  0.0000  0.5000 [1 per cell]
Bi  0.0000  0.5000  0.5000 [1 per cell]
Bi  0.5000  0.0000  0.0000 [1 per cell]
O  0.0878  0.5098  0.7414 [2 per cell]
O  0.2076  0.7765  0.4616 [2 per cell]
O  0.2227  0.7910  0.0344 [2 per cell]
O  0.2805  0.2972  0.4535 [2 per cell]
O  0.3008  0.2829  0.0452 [2 per cell]
O  0.4330  0.0380  0.7581 [2 per cell]

Main lines, by angle (10° ≤ 2θ ≤ 90°):
2θ/deg	I_rel	index
20.5	23	1 1 0
29.0	66	1 1 2
29.2	100	-1 1 2
29.3	32	2 0 0
41.7	52	0 0 4
51.5	19	-1 3 2
51.7	23	2 0 4
51.9	16	3 1 -2

[2]
This entry pairs a crystal structure of Cs2CdI4 with its theoretical powder diffractogram. Radiation: Cu Ka. Structure: a DFT-relaxed cell (PBE, the Materials Project).
Peak positions follow from Bragg's law for the DFT cell and can differ from measured ones.

Crystal structure
a = 8.1043 Å, b = 8.6831 Å, c = 11.3005 Å
α = 90.00°, β = 110.48°, γ = 90.00°
Space group P2_1/m (No. 11)
Inequivalent atoms, fractional coordinates:
Cs  0.1906  0.2500  0.4085 [2 per cell]
Cs  0.3082  0.2500  0.9674 [2 per cell]
Cd  0.3138  0.7500  0.2231 [2 per cell]
I  0.0773  0.7500  0.3547 [2 per cell]
I  0.1422  0.7500  0.9557 [2 per cell]
I  0.4620  0.5091  0.7146 [4 per cell]

Main lines, by angle (10° ≤ 2θ ≤ 90°):
2θ/deg	I_rel	index
20.5	22	0 2 0
23.6	100	2 0 -2
25.8	51	2 1 -2
26.5	51	1 2 -2
26.6	22	0 2 2
31.3	22	2 2 0
31.7	26	1 0 -4
41.6	19	0 4 0

[3]
This entry pairs a crystal structure of NdSeF with its theoretical powder diffractogram. Radiation: Cu Ka. Structure: a DFT-relaxed cell (PBE, the Materials Project).
Peak positions follow from Bragg's law for the DFT cell and can differ from measured ones.

Crystal structure
a = 4.0496 Å, b = 4.0496 Å, c = 7.2426 Å
α = 90.00°, β = 90.00°, γ = 90.00°
Space group P4/nmm (No. 129, origin choice 2)
Inequivalent atoms, fractional coordinates:
Nd  0.2500  0.2500  0.2178 [2 per cell]
Se  0.2500  0.2500  0.6440 [2 per cell]
F  0.2500  0.7500  0.0000 [2 per cell]

Main lines, by angle (10° ≤ 2θ ≤ 90°):
2θ/deg	I_rel	index
24.6	38	0 0 2
25.2	51	1 0 1
31.2	100	1 1 0
33.2	74	1 0 2
40.1	71	1 1 2
43.6	44	1 0 3
44.8	52	2 0 0
74.0	33	3 1 0

[4]
This entry pairs a crystal structure of RbAuS2O8 with its theoretical powder diffractogram. Radiation: Cu Ka. Structure: a DFT-relaxed cell (PBE, the Materials Project).
Peak positions follow from Bragg's law for the DFT cell and can differ from measured ones.

Crystal structure
a = 4.3562 Å, b = 5.1682 Å, c = 9.0377 Å
α = 76.96°, β = 88.31°, γ = 74.31°
Space group P-1 (No. 2)
Inequivalent atoms, fractional coordinates:
Rb  0.0000  0.0000  0.0000 [1 per cell]
Au  0.0000  0.5000  0.5000 [1 per cell]
S  0.4494  0.6235  0.7311 [2 per cell]
O  0.2210  0.7349  0.5892 [2 per cell]
O  0.2518  0.5887  0.3103 [2 per cell]
O  0.3200  0.4619  0.8578 [2 per cell]
O  0.4766  0.1333  0.2425 [2 per cell]

Main lines, by angle (10° ≤ 2θ ≤ 90°):
2θ/deg	I_rel	index
10.1	90	0 0 1
18.3	57	0 1 0
18.8	55	0 1 1
22.9	100	0 1 -1
24.7	56	1 1 1
28.9	61	1 0 -2
29.9	67	1 0 2
31.8	64	-1 1 1

[5]
This entry pairs a crystal structure of Bi7I2 with its theoretical powder diffractogram. Radiation: Cu Ka. Structure: a DFT-relaxed cell (PBE, the Materials Project).
Peak positions follow from Bragg's law for the DFT cell and can differ from measured ones.

Crystal structure
a = 11.3547 Å, b = 4.4793 Å, c = 13.5891 Å
α = 90.00°, β = 93.35°, γ = 90.00°
Space group P2_1/m (No. 11)
Inequivalent atoms, fractional coordinates:
Bi  0.0222  0.2500  0.2457 [2 per cell]
Bi  0.0875  0.2500  0.0274 [2 per cell]
Bi  0.1249  0.7500  0.5227 [2 per cell]
Bi  0.1969  0.7500  0.3069 [2 per cell]
Bi  0.2299  0.2500  0.7953 [2 per cell]
Bi  0.3014  0.2500  0.5804 [2 per cell]
Bi  0.4103  0.7500  0.8522 [2 per cell]
I  0.3455  0.7500  0.0706 [2 per cell]
I  0.4556  0.2500  0.3488 [2 per cell]

Main lines, by angle (10° ≤ 2θ ≤ 90°):
2θ/deg	I_rel	index
26.4	100	2 1 1
27.0	49	1 0 -4
35.0	19	4 0 2
36.1	39	3 1 -3
40.0	35	1 1 5
40.3	18	0 2 0
49.1	21	1 2 -4
54.4	11	4 2 2

[6]
This entry pairs a crystal structure of Cs2RbAuCl6 with its theoretical powder diffractogram. Radiation: Cu Ka. Structure: a DFT-relaxed cell (PBE, the Materials Project).
Peak positions follow from Bragg's law for the DFT cell and can differ from measured ones.

Crystal structure
a = 11.2584 Å, b = 11.2584 Å, c = 11.2584 Å
α = 90.00°, β = 90.00°, γ = 90.00°
Space group Fm-3m (No. 225)
Inequivalent atoms, fractional coordinates:
Cs  0.2500  0.2500  0.2500 [8 per cell]
Rb  0.0000  0.0000  0.0000 [4 per cell]
Au  0.0000  0.0000  0.5000 [4 per cell]
Cl  0.0000  0.0000  0.2759 [24 per cell]

Main lines, by angle (10° ≤ 2θ ≤ 90°):
2θ/deg	I_rel	index
13.6	19	1 1 1
22.3	100	2 2 0
31.8	51	4 0 0
39.2	45	4 2 2
45.6	34	4 4 0
51.3	25	6 2 0
61.7	27	6 4 2
88.6	16	10 2 0

[7]
This entry pairs a crystal structure of La3Ti with its theoretical powder diffractogram. Radiation: Cu Ka. Structure: a DFT-relaxed cell (PBE, the Materials Project).
Peak positions follow from Bragg's law for the DFT cell and can differ from measured ones.

Crystal structure
a = 7.1683 Å, b = 7.1683 Å, c = 5.6777 Å
α = 90.00°, β = 90.00°, γ = 120.00°
Space group P6_3/mmc (No. 194)
Inequivalent atoms, fractional coordinates:
La  0.1762  0.3524  0.2500 [6 per cell]
Ti  0.3333  0.6667  0.7500 [2 per cell]

Main lines, by angle (10° ≤ 2θ ≤ 90°):
2θ/deg	I_rel	index
21.2	17	1 0 1
28.8	24	2 0 0
31.5	26	0 0 2
32.9	100	2 0 1
43.2	16	2 0 2
51.0	18	2 2 0
57.0	20	2 0 3
61.2	21	2 2 2